Starting from a crystal structure in the Materials Project, relaxed with GGA-PBE, the X-ray diffraction stick pattern of SmDyC4 was computed for Cu Kα X-rays.
No peak broadening, texture or thermal motion is included.

Cell and atoms:
a = 7.3443 Å, b = 3.7124 Å, c = 7.2984 Å
α = 90.00°, β = 118.49°, γ = 90.00°
Space group C2/m (No. 12)
Inequivalent atoms, fractional coordinates:
1 Sm 0.0000 0.0000 0.0000 (multiplicity 2)
2 Dy 0.0000 0.5000 0.5000 (multiplicity 2)
3 C 0.1957 0.0000 0.7927 (multiplicity 4)
4 C 0.1999 0.5000 0.3092 (multiplicity 4)

Largest 10 diffraction maxima, low angle first, 10° ≤ 2θ ≤ 90°:
2theta	I/Imax	(hkl)
27.64	34	2 0 0
27.88	100	0 0 2
28.37	45	2 0 -2
34.01	67	1 1 1
44.74	26	3 1 -1
44.98	25	1 1 -3
49.96	28	3 1 -3
57.09	16	4 0 0
57.30	19	2 2 0
57.66	12	2 2 -2

=====

Starting from a crystal structure in the Materials Project, relaxed with GGA-PBE, the X-ray diffraction stick pattern of Cu4H3C2N5 was computed for Cu Kα X-rays.
No peak broadening, texture or thermal motion is included.

Cell and atoms:
a = 5.7861 Å, b = 5.7861 Å, c = 10.8626 Å
α = 90.00°, β = 90.00°, γ = 120.00°
Space group P6_3mc (No. 186)
Inequivalent atoms, fractional coordinates:
1 Cu 0.1649 0.3298 0.0000 (multiplicity 6)
2 Cu 0.3333 0.6667 0.5190 (multiplicity 2)
3 H 0.2371 0.4742 0.3066 (multiplicity 6)
4 C 0.0000 0.0000 0.2068 (multiplicity 2)
5 C 0.3333 0.6667 0.7990 (multiplicity 2)
6 N 0.0000 0.0000 0.0881 (multiplicity 2)
7 N 0.0000 0.0000 0.3170 (multiplicity 2)
8 N 0.3333 0.6667 0.3396 (multiplicity 2)
9 N 0.3333 0.6667 0.6895 (multiplicity 2)
10 N 0.3333 0.6667 0.9182 (multiplicity 2)

Largest 10 diffraction maxima, low angle first, 10° ≤ 2θ ≤ 90°:
2theta	I/Imax	(hkl)
16.32	100	0 0 2
32.98	22	0 0 4
35.84	13	2 0 0
36.82	81	2 0 1
39.61	23	2 0 2
43.95	43	2 0 3
56.03	24	2 0 5
64.41	15	2 2 0
66.94	14	2 2 2
74.29	11	2 2 4

=====

Starting from a crystal structure in the Materials Project, relaxed with GGA-PBE, the X-ray diffraction stick pattern of Na2LiBe2F7 was computed for Cu Kα X-rays.
No peak broadening, texture or thermal motion is included.

Cell and atoms:
a = 7.6986 Å, b = 7.6986 Å, c = 4.8964 Å
α = 90.00°, β = 90.00°, γ = 90.00°
Space group P-42_1m (No. 113)
Inequivalent atoms, fractional coordinates:
1 Na 0.1678 0.3322 0.4950 (multiplicity 4)
2 Li 0.0000 0.0000 0.0000 (multiplicity 2)
3 Be 0.1405 0.6405 0.9293 (multiplicity 4)
4 F 0.0000 0.5000 0.8186 (multiplicity 2)
5 F 0.0832 0.8137 0.7929 (multiplicity 8)
6 F 0.1422 0.6422 0.2409 (multiplicity 4)

Largest 10 diffraction maxima, low angle first, 10° ≤ 2θ ≤ 90°:
2theta	I/Imax	(hkl)
16.28	23	1 1 0
29.52	26	2 0 1
31.77	100	2 1 1
37.82	69	2 2 1
39.65	69	3 0 1
45.46	69	2 1 2
48.77	25	4 1 0
50.28	24	3 3 0
52.45	20	4 1 1
53.05	22	3 1 2

=====

Starting from a crystal structure in the Materials Project, relaxed with GGA-PBE, the X-ray diffraction stick pattern of Ba6MgNb2IrCl2O12 was computed for Cu Kα X-rays.
No peak broadening, texture or thermal motion is included.

Cell and atoms:
a = 5.9696 Å, b = 5.9721 Å, c = 15.8451 Å
α = 89.67°, β = 89.73°, γ = 60.29°
Space group P1 (No. 1)
Inequivalent atoms, fractional coordinates:
1 Ba 0.0000 0.0000 0.0000 (multiplicity 1)
2 Ba 0.9996 0.9998 0.3681 (multiplicity 1)
3 Ba 0.3303 0.3287 0.7499 (multiplicity 1)
4 Ba 0.3306 0.3290 0.1803 (multiplicity 1)
5 Ba 0.3318 0.3313 0.4820 (multiplicity 1)
6 Ba 0.9980 0.9968 0.6062 (multiplicity 1)
7 Mg 0.9964 0.9937 0.1839 (multiplicity 1)
8 Nb 0.6627 0.6608 0.2122 (multiplicity 1)
9 Nb 0.6646 0.6637 0.5751 (multiplicity 1)
10 Ir 0.6649 0.6639 0.3894 (multiplicity 1)
11 Cl 0.3303 0.3282 0.9600 (multiplicity 1)
12 Cl 0.9972 0.9959 0.8039 (multiplicity 1)
13 O 0.3351 0.8259 0.1394 (multiplicity 1)
14 O 0.3606 0.8161 0.4801 (multiplicity 1)
15 O 0.4990 0.4977 0.6308 (multiplicity 1)
16 O 0.4999 0.9910 0.6315 (multiplicity 1)
17 O 0.5107 0.9661 0.3016 (multiplicity 1)
18 O 0.5132 0.5117 0.3016 (multiplicity 1)
19 O 0.8171 0.3595 0.4802 (multiplicity 1)
20 O 0.8170 0.8161 0.4803 (multiplicity 1)
21 O 0.8260 0.8240 0.1399 (multiplicity 1)
22 O 0.8280 0.3329 0.1396 (multiplicity 1)
23 O 0.9674 0.5093 0.3017 (multiplicity 1)
24 O 0.9925 0.4985 0.6314 (multiplicity 1)

Largest 10 diffraction maxima, low angle first, 10° ≤ 2θ ≤ 90°:
2theta	I/Imax	(hkl)
18.00	42	1 0 1
24.05	42	1 0 -3
28.16	22	0 0 5
28.32	32	1 0 4
29.80	51	1 -1 0
29.93	100	2 1 0
41.45	40	1 -1 5
41.68	30	2 1 -5
52.97	20	3 0 0
62.19	18	4 2 0

=====

Starting from a crystal structure in the Materials Project, relaxed with GGA-PBE, the X-ray diffraction stick pattern of LiSiBiO4 was computed for Cu Kα X-rays.
No peak broadening, texture or thermal motion is included.

Cell and atoms:
a = 9.0588 Å, b = 7.0985 Å, c = 5.7746 Å
α = 90.00°, β = 90.00°, γ = 90.00°
Space group Pnma (No. 62)
Inequivalent atoms, fractional coordinates:
1 Li 0.0000 0.0000 0.0000 (multiplicity 4)
2 Si 0.1776 0.2500 0.4156 (multiplicity 4)
3 Bi 0.1560 0.7500 0.3672 (multiplicity 4)
4 O 0.0951 0.2500 0.6778 (multiplicity 4)
5 O 0.1336 0.0640 0.2655 (multiplicity 8)
6 O 0.1441 0.7500 0.9881 (multiplicity 4)

Largest 10 diffraction maxima, low angle first, 10° ≤ 2θ ≤ 90°:
2theta	I/Imax	(hkl)
18.22	42	1 0 1
19.82	100	0 1 1
22.14	41	1 1 1
23.30	85	2 1 0
24.99	91	2 0 1
25.09	89	0 2 0
32.55	59	1 0 2
33.49	35	3 0 1
41.53	56	1 2 2
45.29	42	3 1 2

=====

Starting from a crystal structure in the Materials Project, relaxed with GGA-PBE, the X-ray diffraction stick pattern of MgSb4O10 was computed for Cu Kα X-rays.
No peak broadening, texture or thermal motion is included.

Cell and atoms:
a = 5.2026 Å, b = 5.7192 Å, c = 7.0499 Å
α = 101.10°, β = 109.31°, γ = 90.16°
Space group P1 (No. 1)
Inequivalent atoms, fractional coordinates:
1 Mg 0.0000 0.0000 0.0000 (multiplicity 1)
2 Sb 0.2083 0.4361 0.3517 (multiplicity 1)
3 Sb 0.3864 0.8601 0.7570 (multiplicity 1)
4 Sb 0.6497 0.9102 0.3290 (multiplicity 1)
5 Sb 0.9126 0.3778 0.7672 (multiplicity 1)
6 O 0.1168 0.6959 0.8578 (multiplicity 1)
7 O 0.1259 0.7660 0.4716 (multiplicity 1)
8 O 0.2182 0.1533 0.8482 (multiplicity 1)
9 O 0.2958 0.1004 0.2757 (multiplicity 1)
10 O 0.4621 0.5831 0.2517 (multiplicity 1)
11 O 0.5333 0.5243 0.6575 (multiplicity 1)
12 O 0.6619 0.8775 0.0298 (multiplicity 1)
13 O 0.6776 0.0436 0.6917 (multiplicity 1)
14 O 0.9181 0.3690 0.0605 (multiplicity 1)
15 O 0.9480 0.3121 0.4836 (multiplicity 1)

Largest 10 diffraction maxima, low angle first, 10° ≤ 2θ ≤ 90°:
2theta	I/Imax	(hkl)
23.26	100	1 -1 0
23.54	80	1 1 -1
27.39	81	0 0 2
28.49	69	1 -1 1
29.40	71	1 1 -2
31.98	62	0 2 0
32.89	49	1 1 1
33.88	47	-1 1 2
34.51	47	2 0 -1
51.12	46	1 -3 0

=====

Starting from a crystal structure in the Materials Project, relaxed with GGA-PBE, the X-ray diffraction stick pattern of K12MgPb4O10 was computed for Cu Kα X-rays.
No peak broadening, texture or thermal motion is included.

Cell and atoms:
a = 6.8568 Å, b = 8.0153 Å, c = 13.0265 Å
α = 77.16°, β = 80.97°, γ = 84.15°
Space group P1 (No. 1)
Inequivalent atoms, fractional coordinates:
1 K 0.0000 0.0000 0.0000 (multiplicity 1)
2 K 0.9998 0.4568 0.0127 (multiplicity 1)
3 K 0.1051 0.0934 0.2359 (multiplicity 1)
4 K 0.1108 0.6359 0.2452 (multiplicity 1)
5 K 0.2346 0.3277 0.5153 (multiplicity 1)
6 K 0.2484 0.8557 0.5012 (multiplicity 1)
7 K 0.2900 0.0098 0.7603 (multiplicity 1)
8 K 0.3673 0.5576 0.7495 (multiplicity 1)
9 K 0.4621 0.2031 0.9947 (multiplicity 1)
10 K 0.5842 0.8999 0.2324 (multiplicity 1)
11 K 0.7021 0.0485 0.4437 (multiplicity 1)
12 K 0.8517 0.8098 0.7417 (multiplicity 1)
13 Mg 0.7059 0.2227 0.6418 (multiplicity 1)
14 Pb 0.4209 0.7001 0.0035 (multiplicity 1)
15 Pb 0.5577 0.3478 0.2249 (multiplicity 1)
16 Pb 0.8122 0.6222 0.5170 (multiplicity 1)
17 Pb 0.9341 0.3618 0.7726 (multiplicity 1)
18 O 0.0552 0.5731 0.6352 (multiplicity 1)
19 O 0.1770 0.2699 0.8603 (multiplicity 1)
20 O 0.1766 0.7393 0.9095 (multiplicity 1)
21 O 0.3055 0.8788 0.1089 (multiplicity 1)
22 O 0.3208 0.4428 0.1147 (multiplicity 1)
23 O 0.3931 0.1465 0.3401 (multiplicity 1)
24 O 0.5998 0.7873 0.5986 (multiplicity 1)
25 O 0.7504 0.1831 0.1315 (multiplicity 1)
26 O 0.9623 0.8170 0.3884 (multiplicity 1)
27 O 0.9746 0.1519 0.6706 (multiplicity 1)

Largest 10 diffraction maxima, low angle first, 10° ≤ 2θ ≤ 90°:
2theta	I/Imax	(hkl)
11.35	37	0 1 0
15.73	94	1 0 -1
16.14	67	0 1 2
16.47	100	1 1 1
28.28	70	2 0 -1
28.38	69	0 0 4
28.88	62	1 -2 1
32.45	49	1 2 -2
32.79	59	-1 2 3
47.96	36	1 -2 5

=====

Starting from a crystal structure in the Materials Project, relaxed with GGA-PBE, the X-ray diffraction stick pattern of Tm3Ge13Ru4 was computed for Cu Kα X-rays.
No peak broadening, texture or thermal motion is included.

Cell and atoms:
a = 9.0191 Å, b = 9.0191 Å, c = 9.0191 Å
α = 90.00°, β = 90.00°, γ = 90.00°
Space group Pm-3n (No. 223)
Inequivalent atoms, fractional coordinates:
1 Tm 0.0000 0.2500 0.5000 (multiplicity 6)
2 Ge 0.0000 0.0000 0.0000 (multiplicity 2)
3 Ge 0.0000 0.3066 0.1481 (multiplicity 24)
4 Ru 0.2500 0.2500 0.2500 (multiplicity 8)

Largest 10 diffraction maxima, low angle first, 10° ≤ 2θ ≤ 90°:
2theta	I/Imax	(hkl)
22.04	16	2 1 0
34.45	23	2 2 2
35.90	100	3 2 0
37.30	40	3 2 1
39.99	32	4 0 0
49.51	18	4 2 2
59.79	13	4 3 3
63.59	14	5 3 2
69.08	21	6 2 2
76.96	10	6 4 1

=====

Starting from a crystal structure in the Materials Project, relaxed with GGA-PBE, the X-ray diffraction stick pattern of HoTh was computed for Cu Kα X-rays.
No peak broadening, texture or thermal motion is included.

Cell and atoms:
a = 3.5479 Å, b = 3.5479 Å, c = 17.3542 Å
α = 90.00°, β = 90.00°, γ = 120.00°
Space group R-3m (No. 166, hexagonal axes)
Inequivalent atoms, fractional coordinates:
1 Ho 0.0000 0.0000 0.0000 (multiplicity 3)
2 Th 0.0000 0.0000 0.5000 (multiplicity 3)

Largest 10 diffraction maxima, low angle first, 10° ≤ 2θ ≤ 90°:
2theta	I/Imax	(hkl)
15.32	3	0 0 3
30.88	100	0 1 2
35.81	51	1 0 4
51.55	37	1 1 0
61.31	44	2 0 2
64.35	13	0 2 4
75.89	6	2 0 8
84.12	14	1 2 2
84.23	5	0 1 14
86.86	17	2 1 4

=====

Starting from a crystal structure in the Materials Project, relaxed with GGA-PBE, the X-ray diffraction stick pattern of TlCuO2 was computed for Cu Kα X-rays.
No peak broadening, texture or thermal motion is included.

Cell and atoms:
a = 5.6751 Å, b = 5.4856 Å, c = 5.8599 Å
α = 90.00°, β = 118.33°, γ = 90.00°
Space group P2_1/m (No. 11)
Inequivalent atoms, fractional coordinates:
1 Tl 0.1953 0.2500 0.3593 (multiplicity 2)
2 Cu 0.4881 0.7500 0.9947 (multiplicity 2)
3 O 0.5000 0.0000 0.2131 (multiplicity 4)

Largest 10 diffraction maxima, low angle first, 10° ≤ 2θ ≤ 90°:
2theta	I/Imax	(hkl)
23.68	77	0 1 1
24.09	100	1 1 0
24.22	90	1 1 -1
30.24	60	1 0 1
30.55	46	1 0 -2
31.53	57	2 0 -1
32.65	39	0 2 0
45.10	36	1 2 1
45.31	49	1 2 -2
46.02	36	2 2 -1